# 1
Calculated powder diffraction line list of Li4MnV2WO12 for CuKα, from a crystal structure in the Materials Project, relaxed with GGA+U.

Structure:
```
data_Li4MnV2WO12
_symmetry_space_group_name_H-M 'P 1'
_symmetry_Int_Tables_number 1
_cell_length_a 5.0628
_cell_length_b 5.3449
_cell_length_c 7.3681
_cell_angle_alpha 85.63
_cell_angle_beta 89.99
_cell_angle_gamma 89.88
loop_
_symmetry_equiv_pos_as_xyz
'x,y,z'
loop_
_atom_site_label
_atom_site_fract_x
_atom_site_fract_y
_atom_site_fract_z
_atom_site_occupancy
Li1 0.0000 0.0000 0.0000 1
Li2 0.0009 0.0227 0.4654 1
Li3 0.4869 0.5368 0.0152 1
Li4 0.4943 0.5180 0.4620 1
Mn1 0.9965 0.5821 0.2664 1
V1 0.4956 0.0825 0.2617 1
V2 0.9957 0.5657 0.7688 1
W1 0.4923 0.0792 0.7670 1
O1 0.1064 0.6229 0.0244 1
O2 0.1753 0.9227 0.7223 1
O3 0.2038 0.3081 0.3403 1
O4 0.3006 0.8171 0.3353 1
O5 0.3096 0.4230 0.7236 1
O6 0.3797 0.1204 0.0270 1
O7 0.6197 0.1098 0.5312 1
O8 0.6824 0.7935 0.8448 1
O9 0.6843 0.4152 0.2323 1
O10 0.7952 0.9179 0.2269 1
O11 0.8092 0.2947 0.8435 1
O12 0.8846 0.6081 0.5426 1
```

Most intense lines, 5 to 70 degrees two-theta, low angle first:
- 12.0 deg, rel. 18, (0 0 1)
- 21.3 deg, rel. 18, (1 0 1)
- 24.2 deg, rel. 100, (0 0 2)
- 33.6 deg, rel. 35, (1 1 2)
- 35.5 deg, rel. 21, (2 0 0)
- 41.0 deg, rel. 16, (1 -2 1)
- 49.6 deg, rel. 13, (2 2 0)
- 54.7 deg, rel. 17, (1 1 4)
- 57.3 deg, rel. 13, (1 -1 4)
- 63.7 deg, rel. 11, (3 1 -2)



# 2
Calculated powder diffraction line list of MgFe2Ag2O4 for CuKα, from a crystal structure in the Materials Project, relaxed with GGA+U.

Structure:
```
data_MgFe2Ag2O4
_symmetry_space_group_name_H-M 'P 3 m 1'
_symmetry_Int_Tables_number 156
_cell_length_a 3.1179
_cell_length_b 3.1179
_cell_length_c 14.4310
_cell_angle_alpha 90.00
_cell_angle_beta 90.00
_cell_angle_gamma 120.00
loop_
_symmetry_equiv_pos_as_xyz
'x,y,z'
'-y,x-y,z'
'-x+y,-x,z'
'-y,-x,z'
'-x+y,y,z'
'x,x-y,z'
loop_
_atom_site_label
_atom_site_fract_x
_atom_site_fract_y
_atom_site_fract_z
_atom_site_occupancy
Mg1 0.0000 0.0000 0.0000 1
Fe1 0.0000 0.0000 0.3933 1
Fe2 0.0000 0.0000 0.8167 1
Ag1 0.3333 0.6667 0.1696 1
Ag2 0.6667 0.3333 0.6110 1
O1 0.3333 0.6667 0.3232 1
O2 0.3333 0.6667 0.9393 1
O3 0.6667 0.3333 0.4645 1
O4 0.6667 0.3333 0.7591 1
```

Most intense lines, 5 to 70 degrees two-theta, low angle first:
- 24.7 deg, rel. 22, (0 0 4)
- 31.0 deg, rel. 36, (0 0 5)
- 33.8 deg, rel. 100, (0 1 1)
- 35.5 deg, rel. 72, (1 0 2)
- 38.2 deg, rel. 41, (0 1 3)
- 41.8 deg, rel. 21, (1 0 4)
- 46.0 deg, rel. 22, (1 0 5)
- 50.8 deg, rel. 24, (1 0 6)
- 56.1 deg, rel. 27, (0 1 7)
- 59.3 deg, rel. 33, (1 1 0)



# 3
Calculated powder diffraction line list of Li2FeF4 for CuKα, from a crystal structure in the Materials Project, relaxed with GGA+U.

Structure:
```
data_Li2FeF4
_symmetry_space_group_name_H-M 'C m m m'
_symmetry_Int_Tables_number 65
_symmetry_space_group_name_Hall '-C 2 2'
_cell_length_a 5.9756
_cell_length_b 8.7076
_cell_length_c 2.9834
_cell_angle_alpha 90.00
_cell_angle_beta 90.00
_cell_angle_gamma 90.00
loop_
_atom_site_label
_atom_site_fract_x
_atom_site_fract_y
_atom_site_fract_z
_atom_site_occupancy
Li1 0.2500 0.2500 0.0000 1
Fe1 0.0000 0.0000 0.5000 1
F1 0.0000 0.2350 0.5000 1
F2 0.2422 0.0000 0.0000 1
```

Most intense lines, 5 to 70 degrees two-theta, low angle first:
- 18.0 deg, rel. 100, (1 1 0)
- 20.4 deg, rel. 21, (0 2 0)
- 29.9 deg, rel. 16, (2 0 0)
- 34.3 deg, rel. 11, (1 3 0)
- 35.2 deg, rel. 31, (1 1 1)
- 41.5 deg, rel. 27, (0 4 0)
- 42.8 deg, rel. 50, (2 0 1)
- 46.2 deg, rel. 8, (1 3 1)
- 56.6 deg, rel. 9, (3 1 1)
- 61.2 deg, rel. 28, (2 4 1)



# 4
Calculated powder diffraction line list of CaEuZrCrO6 for CuKα, from a crystal structure in the Materials Project, relaxed with GGA+U.

Structure:
```
data_CaEuZrCrO6
_symmetry_space_group_name_H-M 'F -4 3 m'
_symmetry_Int_Tables_number 216
_symmetry_space_group_name_Hall 'F -4 2 3'
_cell_length_a 8.0195
_cell_length_b 8.0195
_cell_length_c 8.0195
_cell_angle_alpha 90.00
_cell_angle_beta 90.00
_cell_angle_gamma 90.00
loop_
_atom_site_label
_atom_site_fract_x
_atom_site_fract_y
_atom_site_fract_z
_atom_site_occupancy
Ca1 0.0000 0.0000 0.0000 1
Eu1 0.0000 0.0000 0.5000 1
Zr1 0.2500 0.2500 0.2500 1
Cr1 0.2500 0.2500 0.7500 1
O1 0.0079 0.2500 0.7500 1
```

Most intense lines, 5 to 70 degrees two-theta, low angle first:
- 19.2 deg, rel. 30, (1 1 1)
- 31.6 deg, rel. 100, (2 2 0)
- 37.2 deg, rel. 19, (3 1 1)
- 38.9 deg, rel. 8, (2 2 2)
- 45.2 deg, rel. 35, (4 0 0)
- 49.5 deg, rel. 9, (3 3 1)
- 56.2 deg, rel. 38, (4 2 2)
- 59.9 deg, rel. 6, (3 3 3)
- 65.9 deg, rel. 21, (4 4 0)
- 69.3 deg, rel. 6, (5 3 1)



# 5
Calculated powder diffraction line list of LiFeF5 for CuKα, from a crystal structure in the Materials Project, relaxed with GGA+U.

Structure:
```
data_LiFeF5
_symmetry_space_group_name_H-M 'P n m a'
_symmetry_Int_Tables_number 62
_cell_length_a 9.1774
_cell_length_b 5.3835
_cell_length_c 7.9851
_cell_angle_alpha 90.00
_cell_angle_beta 90.00
_cell_angle_gamma 90.00
loop_
_symmetry_equiv_pos_as_xyz
'x,y,z'
'-x,-y,-z'
'-x+1/2,-y,z+1/2'
'x+1/2,y,-z+1/2'
'x+1/2,-y+1/2,-z+1/2'
'-x+1/2,y+1/2,z+1/2'
'-x,y+1/2,-z'
'x,-y+1/2,z'
loop_
_atom_site_label
_atom_site_fract_x
_atom_site_fract_y
_atom_site_fract_z
_atom_site_occupancy
Li1 0.0190 0.2500 0.1995 1
Fe1 0.2235 0.2500 0.5970 1
F1 0.1061 0.0175 0.6825 1
F2 0.1351 0.5196 0.0710 1
F3 0.1618 0.2500 0.3773 1
```

Most intense lines, 5 to 70 degrees two-theta, low angle first:
- 19.3 deg, rel. 25, (2 0 0)
- 22.1 deg, rel. 100, (1 1 1)
- 24.3 deg, rel. 61, (1 0 2)
- 25.5 deg, rel. 12, (2 1 0)
- 27.9 deg, rel. 12, (2 1 1)
- 35.6 deg, rel. 10, (3 1 1)
- 38.8 deg, rel. 11, (2 2 0)
- 46.3 deg, rel. 11, (3 2 1)
- 50.6 deg, rel. 18, (3 2 2)
- 52.4 deg, rel. 12, (4 2 0)



# 6
Calculated powder diffraction line list of Li6V3FeP6O24 for CuKα, from a crystal structure in the Materials Project, relaxed with GGA+U.

Structure:
```
data_Li6V3FeP6O24
_symmetry_space_group_name_H-M 'P 1'
_symmetry_Int_Tables_number 1
_cell_length_a 8.6337
_cell_length_b 8.6350
_cell_length_c 8.6504
_cell_angle_alpha 61.63
_cell_angle_beta 61.32
_cell_angle_gamma 61.40
loop_
_symmetry_equiv_pos_as_xyz
'x,y,z'
loop_
_atom_site_label
_atom_site_fract_x
_atom_site_fract_y
_atom_site_fract_z
_atom_site_occupancy
Li1 0.0000 0.0000 0.0000 1
Li2 0.0900 0.9128 0.5015 1
Li3 0.1844 0.4220 0.3951 1
Li4 0.3651 0.7660 0.1507 1
Li5 0.5829 0.6069 0.8110 1
Li6 0.8139 0.2622 0.6443 1
V1 0.4839 0.9050 0.2917 1
V2 0.6959 0.1222 0.5089 1
V3 0.9843 0.4059 0.7996 1
Fe1 0.1915 0.6101 0.0061 1
P1 0.0898 0.2129 0.2007 1
P2 0.2958 0.0077 0.6944 1
P3 0.3869 0.5109 0.6044 1
P4 0.5886 0.3047 0.1115 1
P5 0.7926 0.8109 0.9017 1
P6 0.8852 0.7212 0.4027 1
O1 0.0323 0.2451 0.0429 1
O2 0.0737 0.6969 0.2374 1
O3 0.1053 0.1699 0.7244 1
O4 0.1490 0.3720 0.1678 1
O5 0.2275 0.4506 0.6405 1
O6 0.2450 0.0193 0.2247 1
O7 0.2733 0.8462 0.8848 1
O8 0.3123 0.9621 0.5338 1
O9 0.3537 0.5655 0.7676 1
O10 0.3856 0.6811 0.4237 1
O11 0.4266 0.4968 0.0881 1
O12 0.4657 0.0487 0.6561 1
O13 0.5396 0.1428 0.1413 1
O14 0.5777 0.3539 0.5832 1
O15 0.6023 0.8303 0.0594 1
O16 0.6389 0.2730 0.2729 1
O17 0.7148 0.7601 0.3624 1
O18 0.7483 0.3321 0.9181 1
O19 0.7945 0.9924 0.7328 1
O20 0.8278 0.6493 0.8433 1
O21 0.8679 0.8806 0.4515 1
O22 0.9112 0.5283 0.5601 1
O23 0.9340 0.1926 0.3945 1
O24 0.9523 0.7731 0.9635 1
```

Most intense lines, 5 to 70 degrees two-theta, low angle first:
- 14.4 deg, rel. 27, (0 1 1)
- 20.1 deg, rel. 32, (0 1 -1)
- 20.6 deg, rel. 70, (1 1 2)
- 23.8 deg, rel. 52, (1 2 0)
- 23.9 deg, rel. 100, (2 0 1)
- 28.9 deg, rel. 26, (2 0 2)
- 31.3 deg, rel. 19, (2 -1 0)
- 32.7 deg, rel. 34, (1 2 3)
- 32.8 deg, rel. 17, (1 3 2)
- 35.2 deg, rel. 21, (1 1 -2)



# 7
Calculated powder diffraction line list of V5CoO15 for CuKα, from a crystal structure in the Materials Project, relaxed with GGA+U.

Structure:
```
data_V5CoO15
_symmetry_space_group_name_H-M 'C 1 2 1'
_symmetry_Int_Tables_number 5
_cell_length_a 17.4435
_cell_length_b 9.2210
_cell_length_c 9.4046
_cell_angle_alpha 90.00
_cell_angle_beta 122.56
_cell_angle_gamma 90.00
loop_
_symmetry_equiv_pos_as_xyz
'x,y,z'
'-x,y,-z'
'x+1/2,y+1/2,z'
'-x+1/2,y+1/2,-z'
loop_
_atom_site_label
_atom_site_fract_x
_atom_site_fract_y
_atom_site_fract_z
_atom_site_occupancy
V1 0.0165 0.0000 0.3448 1
V2 0.0248 0.4776 0.6927 1
V3 0.1558 0.2886 0.3474 1
V4 0.2003 0.5060 0.6382 1
V5 0.2027 0.9617 0.7700 1
Co1 0.1620 0.1836 0.9820 1
O1 0.0511 0.8524 0.3091 1
O2 0.0669 0.6168 0.8155 1
O3 0.0740 0.4232 0.2803 1
O4 0.0779 0.5092 0.5521 1
O5 0.0797 0.0438 0.8671 1
O6 0.0805 0.9732 0.5984 1
O7 0.0860 0.3239 0.7934 1
O8 0.0915 0.1457 0.3629 1
O9 0.1236 0.2295 0.1112 1
O10 0.2237 0.3397 0.5666 1
O11 0.2246 0.1277 0.8770 1
O12 0.2330 0.4508 0.3125 1
O13 0.2369 0.6573 0.5871 1
O14 0.2386 0.8110 0.9016 1
O15 0.2425 0.0028 0.1535 1
```

Most intense lines, 5 to 70 degrees two-theta, low angle first:
- 11.2 deg, rel. 75, (2 0 -1)
- 11.3 deg, rel. 94, (1 1 0)
- 13.4 deg, rel. 55, (1 1 -1)
- 19.3 deg, rel. 37, (0 2 0)
- 20.5 deg, rel. 49, (3 1 0)
- 22.3 deg, rel. 100, (0 2 1)
- 27.8 deg, rel. 54, (3 1 1)
- 28.0 deg, rel. 47, (5 1 -2)
- 29.7 deg, rel. 69, (0 2 2)
- 31.1 deg, rel. 39, (4 2 0)